# 1
PmDyTlAg: calculated powder diffractogram (CuKα), based on a DFT-relaxed cell (GGA-PBE, Alexandria).
Intensities are scaled so that the largest is 100.

Principal peaks in the range 2θ = 15–90°, low angle first:
- (1 0 2), 2θ 33.35, d 2.686, I 100.0
- (1 1 0), 2θ 34.40, d 2.607, I 47.5
- (2 0 0), 2θ 49.43, d 1.844, I 20.3
- (1 1 4), 2θ 58.93, d 1.567, I 18.0
- (2 1 2), 2θ 60.95, d 1.520, I 35.2
- (2 0 4), 2θ 70.05, d 1.343, I 11.0

```
data_PmDyTlAg
_cell_length_a 3.687
_cell_length_b 3.687
_cell_length_c 7.845
_cell_angle_alpha 90.00
_cell_angle_beta 90.00
_cell_angle_gamma 90.00
_symmetry_space_group_name_H-M 'P 4 m m'
_symmetry_Int_Tables_number 99
_symmetry_space_group_name_Hall 'P 4 -2'
loop_
_atom_site_label
_atom_site_fract_x
_atom_site_fract_y
_atom_site_fract_z
_atom_site_occupancy
Pm1 0.000 0.000 0.000 1
Dy1 0.000 0.000 0.530 1
Tl1 0.500 0.500 0.271 1
Ag1 0.500 0.500 0.745 1
```

# 2
PmDyYAg: calculated powder diffractogram (CuKα), based on a DFT-relaxed cell (GGA-PBE, Alexandria).
Intensities are scaled so that the largest is 100.

Principal peaks in the range 2θ = 15–90°, low angle first:
- (1 0 1), 2θ 26.58, d 3.353, I 9.5
- (1 0 2), 2θ 32.07, d 2.791, I 100.0
- (1 1 0), 2θ 34.93, d 2.569, I 45.1
- (2 0 0), 2θ 50.23, d 1.816, I 15.9
- (1 1 4), 2θ 55.27, d 1.662, I 14.0
- (2 1 2), 2θ 60.85, d 1.522, I 31.1

```
data_PmDyYAg
_cell_length_a 3.632
_cell_length_b 3.632
_cell_length_c 8.719
_cell_angle_alpha 90.00
_cell_angle_beta 90.00
_cell_angle_gamma 90.00
_symmetry_space_group_name_H-M 'P 4 m m'
_symmetry_Int_Tables_number 99
_symmetry_space_group_name_Hall 'P 4 -2'
loop_
_atom_site_label
_atom_site_fract_x
_atom_site_fract_y
_atom_site_fract_z
_atom_site_occupancy
Pm1 0.000 0.000 0.000 1
Dy1 0.500 0.500 0.711 1
Y1 0.500 0.500 0.293 1
Ag1 0.000 0.000 0.504 1
```

# 3
PrDy2Ag6: calculated powder diffractogram (CuKα), based on a DFT-relaxed cell (GGA-PBE, Alexandria).
Intensities are scaled so that the largest is 100.

Principal peaks in the range 2θ = 15–90°, low angle first:
- (1 1 1), 2θ 33.65, d 2.663, I 100.0
- (3 0 0), 2θ 37.58, d 2.393, I 74.6
- (2 2 1), 2θ 51.32, d 1.780, I 29.7
- (4 1 1), 2θ 65.33, d 1.428, I 28.2
- (3 0 2), 2θ 66.49, d 1.406, I 26.7
- (3 3 0), 2θ 67.82, d 1.382, I 12.5

```
data_PrDy2Ag6
_cell_length_a 8.2912
_cell_length_b 8.2912
_cell_length_c 3.4755
_cell_angle_alpha 90.00
_cell_angle_beta 90.00
_cell_angle_gamma 120.00
_symmetry_space_group_name_H-M 'P 6/m m m'
_symmetry_Int_Tables_number 191
_symmetry_space_group_name_Hall '-P 6 2'
loop_
_atom_site_label
_atom_site_fract_x
_atom_site_fract_y
_atom_site_fract_z
_atom_site_occupancy
Pr1 0.0000 0.0000 0.0000 1
Dy1 0.3333 0.6667 0.0000 1
Ag1 0.0000 0.3358 0.5000 1
```

# 4
Pr5DyAg6: calculated powder diffractogram (CuKα), based on a DFT-relaxed cell (GGA-PBE, Alexandria).
Intensities are scaled so that the largest is 100.

Principal peaks in the range 2θ = 15–90°, low angle first:
- (2 0 -1), 2θ 33.53, d 2.673, I 100.0
- (1 2 1), 2θ 33.70, d 2.659, I 98.4
- (1 2 -2), 2θ 33.89, d 2.645, I 96.9
- (3 2 0), 2θ 59.94, d 1.543, I 35.9
- (3 2 -3), 2θ 60.29, d 1.535, I 35.2
- (2 4 -1), 2θ 60.62, d 1.527, I 34.4

```
data_Pr5DyAg6
_cell_length_a 5.340
_cell_length_b 7.445
_cell_length_c 8.433
_cell_angle_alpha 90.00
_cell_angle_beta 107.84
_cell_angle_gamma 90.00
_symmetry_space_group_name_H-M 'P 1 2/m 1'
_symmetry_Int_Tables_number 10
_symmetry_space_group_name_Hall '-P 2y'
loop_
_atom_site_label
_atom_site_fract_x
_atom_site_fract_y
_atom_site_fract_z
_atom_site_occupancy
Pr1 0.000 0.000 0.000 1
Pr2 0.331 0.000 0.663 1
Pr3 0.334 0.500 0.668 1
Dy1 0.000 0.500 0.000 1
Ag1 0.162 0.257 0.323 1
Ag2 0.500 0.261 0.000 1
```

# 5
Pr3DyAg3: calculated powder diffractogram (CuKα), based on a DFT-relaxed cell (GGA-PBE, Alexandria).
Intensities are scaled so that the largest is 100.

Principal peaks in the range 2θ = 15–90°, low angle first:
- (1 3 -1), 2θ 28.67, d 3.114, I 34.9
- (3 1 -1), 2θ 29.94, d 2.984, I 54.2
- (2 0 2), 2θ 30.58, d 2.923, I 65.9
- (0 4 0), 2θ 32.66, d 2.742, I 64.4
- (2 2 -2), 2θ 34.32, d 2.613, I 100.0
- (0 2 4), 2θ 53.48, d 1.713, I 37.6

```
data_Pr3DyAg3
_cell_length_a 10.220
_cell_length_b 10.967
_cell_length_c 7.216
_cell_angle_alpha 90.00
_cell_angle_beta 91.00
_cell_angle_gamma 90.00
_symmetry_space_group_name_H-M 'C 1 2/m 1'
_symmetry_Int_Tables_number 12
_symmetry_space_group_name_Hall '-C 2y'
loop_
_atom_site_label
_atom_site_fract_x
_atom_site_fract_y
_atom_site_fract_z
_atom_site_occupancy
Pr1 0.000 0.177 0.000 1
Pr2 0.000 0.274 0.500 1
Pr3 0.143 0.500 0.877 1
Dy1 0.250 0.000 0.634 1
Ag1 0.067 0.000 0.323 1
Ag2 0.240 0.249 0.230 1
```

# 6
Pr2DyAg: calculated powder diffractogram (CuKα), based on a DFT-relaxed cell (GGA-PBE, Alexandria).
Intensities are scaled so that the largest is 100.

Principal peaks in the range 2θ = 15–90°, low angle first:
- (2 0 0), 2θ 28.55, d 3.126, I 22.3
- (2 0 1), 2θ 31.34, d 2.854, I 100.0
- (0 0 4), 2θ 33.54, d 2.672, I 30.8
- (1 1 2), 2θ 34.27, d 2.616, I 53.3
- (0 2 0), 2θ 49.53, d 1.840, I 36.0
- (3 1 3), 2θ 61.15, d 1.516, I 32.2

```
data_Pr2DyAg
_cell_length_a 6.370
_cell_length_b 3.683
_cell_length_c 10.895
_cell_angle_alpha 90.00
_cell_angle_beta 101.18
_cell_angle_gamma 90.00
_symmetry_space_group_name_H-M 'C 1 m 1'
_symmetry_Int_Tables_number 8
_symmetry_space_group_name_Hall 'C -2y'
loop_
_atom_site_label
_atom_site_fract_x
_atom_site_fract_y
_atom_site_fract_z
_atom_site_occupancy
Pr1 0.000 0.000 0.000 1
Pr2 0.181 0.000 0.545 1
Dy1 0.424 0.000 0.271 1
Ag1 0.091 0.500 0.774 1
```